Diffraction record for Ca2CuB2H12O12. The powder X-ray diffraction pattern is computed, not measured: it uses DFT lattice parameters and positions (GGA-PBE) and CuKα.
Lines closer than 0.1° are merged.

Crystal structure
a b c (Å): 5.764 5.800 8.162
angles (deg): 82.84 70.45 89.82
Sites, in units of the cell vectors:
Ca: 0.222 0.495 0.264
Ca: 0.778 0.505 0.736
Cu: 0.000 0.000 0.500
B: 0.246 0.287 0.909
B: 0.754 0.713 0.091
H: 0.041 0.052 0.129
H: 0.194 0.636 0.881
H: 0.201 0.228 0.677
H: 0.293 0.707 0.543
H: 0.435 0.069 0.405
H: 0.471 0.002 0.888
H: 0.529 0.998 0.112
H: 0.565 0.931 0.595
H: 0.707 0.293 0.457
H: 0.799 0.772 0.323
H: 0.806 0.364 0.119
H: 0.959 0.948 0.871
O: 0.092 0.244 0.799
O: 0.094 0.219 0.096
O: 0.140 0.696 0.517
O: 0.309 0.177 0.458
O: 0.328 0.533 0.890
O: 0.482 0.169 0.853
O: 0.518 0.831 0.147
O: 0.672 0.467 0.110
O: 0.691 0.823 0.542
O: 0.860 0.304 0.483
O: 0.906 0.781 0.904
O: 0.908 0.756 0.201

Principal peaks in the range 2θ from 5° to 70°, low angle first:
Position (°2θ), intensity
16.3, 71
16.6, 100
20.5, 48
22.1, 41
23.6, 48
26.3, 83
34.7, 42
35.3, 89
36.0, 41
36.2, 33
50.5, 32
51.2, 35

Diffraction record for Mo4HS8. The powder X-ray diffraction pattern is computed, not measured: it uses DFT lattice parameters and positions (GGA-PBE) and CuKα.
Lines closer than 0.1° are merged.

Crystal structure
a b c (Å): 3.145 13.034 29.669
angles (deg): 90.00 90.00 90.00
Sites, in units of the cell vectors:
Mo: 0.000 0.000 0.000
Mo: 0.000 0.000 0.183
Mo: 0.000 0.500 0.121
Mo: 0.000 0.500 0.305
Mo: 0.500 0.000 0.089
Mo: 0.500 0.000 0.273
Mo: 0.500 0.500 0.027
Mo: 0.500 0.500 0.215
H: 0.000 0.094 0.353
H: 0.000 0.906 0.353
S: 0.000 0.120 0.120
S: 0.000 0.121 0.309
S: 0.000 0.380 0.184
S: 0.000 0.383 0.994
S: 0.000 0.617 0.994
S: 0.000 0.620 0.184
S: 0.000 0.879 0.309
S: 0.000 0.880 0.120
S: 0.500 0.123 0.026
S: 0.500 0.124 0.213
S: 0.500 0.378 0.279
S: 0.500 0.380 0.089
S: 0.500 0.620 0.089
S: 0.500 0.622 0.279
S: 0.500 0.876 0.213
S: 0.500 0.877 0.026

Principal peaks in the range 2θ from 5° to 70°, low angle first:
Position (°2θ), intensity
6.0, 100
11.9, 15
13.6, 62
13.9, 74
14.9, 12
36.7, 10
37.3, 13
38.5, 25
39.3, 12
39.8, 18
47.8, 15
49.0, 11

Diffraction record for Ba2NdMgSbO6. The powder X-ray diffraction pattern is computed, not measured: it uses DFT lattice parameters and positions (GGA-PBE) and CuKα.
Lines closer than 0.1° are merged.

Crystal structure
a b c (Å): 6.268 6.471 6.496
angles (deg): 113.72 118.74 93.49
Sites, in units of the cell vectors:
Ba: 0.198 0.125 0.393
Ba: 0.802 0.875 0.607
Nd: 0.500 0.000 0.000
Mg: 0.500 0.500 0.000
Sb: 0.000 0.500 0.000
O: 0.161 0.785 0.512
O: 0.277 0.279 0.050
O: 0.352 0.752 0.117
O: 0.648 0.248 0.883
O: 0.723 0.721 0.950
O: 0.839 0.215 0.488

Principal peaks in the range 2θ from 5° to 70°, low angle first:
Position (°2θ), intensity
15.8, 32
25.2, 34
26.8, 29
27.5, 49
27.7, 100
28.6, 58
31.0, 27
31.8, 17
36.3, 21
39.0, 24
41.4, 24
48.2, 16

Diffraction record for UGe2. The powder X-ray diffraction pattern is computed, not measured: it uses DFT lattice parameters and positions (GGA-PBE) and CuKα.
Lines closer than 0.1° are merged.

Crystal structure
a b c (Å): 4.182 14.964 3.978
angles (deg): 90.00 90.00 90.00
Sites, in units of the cell vectors:
U: 0.000 0.100 0.250
U: 0.000 0.900 0.750
U: 0.500 0.400 0.750
U: 0.500 0.600 0.250
Ge: 0.000 0.252 0.750
Ge: 0.000 0.439 0.250
Ge: 0.000 0.561 0.750
Ge: 0.000 0.748 0.250
Ge: 0.500 0.061 0.750
Ge: 0.500 0.248 0.250
Ge: 0.500 0.752 0.750
Ge: 0.500 0.939 0.250

Principal peaks in the range 2θ from 5° to 70°, low angle first:
Position (°2θ), intensity
22.1, 13
25.4, 22
36.0, 100
36.9, 13
42.8, 7
43.3, 14
45.6, 12
50.8, 7
54.2, 8
57.5, 8
59.4, 7
64.7, 15

Diffraction record for Na2SiH12O9. The powder X-ray diffraction pattern is computed, not measured: it uses DFT lattice parameters and positions (GGA-PBE) and CuKα.
Lines closer than 0.1° are merged.

Crystal structure
a b c (Å): 6.355 5.949 11.449
angles (deg): 90.00 101.88 90.00
Sites, in units of the cell vectors:
Na: 0.069 0.000 0.115
Na: 0.431 0.028 0.364
Na: 0.569 0.528 0.636
Na: 0.931 0.500 0.885
Si: 0.208 0.045 0.627
Si: 0.792 0.545 0.373
H: 0.045 0.248 0.340
H: 0.057 0.505 0.655
H: 0.071 0.484 0.128
H: 0.162 0.916 0.868
H: 0.177 0.372 0.507
H: 0.191 0.609 0.293
H: 0.206 0.753 0.493
H: 0.316 0.226 0.859
H: 0.349 0.290 0.997
H: 0.399 0.608 0.230
H: 0.462 0.548 0.875
H: 0.470 0.793 0.815
H: 0.530 0.293 0.185
H: 0.538 0.048 0.125
H: 0.601 0.108 0.770
H: 0.651 0.790 0.003
H: 0.684 0.726 0.141
H: 0.794 0.253 0.507
H: 0.809 0.109 0.707
H: 0.823 0.872 0.493
H: 0.838 0.416 0.132
H: 0.929 0.984 0.872
H: 0.943 0.005 0.345
H: 0.955 0.748 0.660
O: 0.050 0.889 0.915
O: 0.053 0.512 0.397
O: 0.055 0.087 0.315
O: 0.251 0.669 0.225
O: 0.264 0.304 0.584
O: 0.302 0.353 0.916
O: 0.312 0.852 0.545
O: 0.338 0.021 0.764
O: 0.438 0.159 0.152
O: 0.562 0.659 0.848
O: 0.662 0.521 0.236
O: 0.688 0.352 0.455
O: 0.698 0.853 0.084
O: 0.736 0.804 0.416
O: 0.749 0.169 0.775
O: 0.945 0.587 0.685
O: 0.947 0.012 0.603
O: 0.950 0.389 0.085

Principal peaks in the range 2θ from 5° to 70°, low angle first:
Position (°2θ), intensity
7.9, 75
19.0, 28
20.7, 75
24.2, 29
29.4, 41
30.0, 28
32.0, 100
34.1, 39
34.9, 55
35.1, 30
35.7, 42
50.0, 32

Diffraction record for Tl2NiC4N4. The powder X-ray diffraction pattern is computed, not measured: it uses DFT lattice parameters and positions (GGA-PBE) and CuKα.
Lines closer than 0.1° are merged.

Crystal structure
a b c (Å): 6.313 7.385 9.867
angles (deg): 90.00 112.31 90.00
Sites, in units of the cell vectors:
Tl: 0.198 0.153 0.420
Tl: 0.198 0.347 0.920
Tl: 0.802 0.653 0.080
Tl: 0.802 0.847 0.580
Ni: 0.500 0.000 0.000
Ni: 0.500 0.500 0.500
C: 0.251 0.654 0.441
C: 0.251 0.846 0.941
C: 0.495 0.001 0.812
C: 0.495 0.499 0.312
C: 0.505 0.501 0.688
C: 0.505 0.999 0.188
C: 0.749 0.154 0.059
C: 0.749 0.346 0.559
N: 0.094 0.745 0.902
N: 0.094 0.755 0.402
N: 0.491 0.002 0.692
N: 0.491 0.498 0.192
N: 0.509 0.502 0.808
N: 0.509 0.998 0.308
N: 0.906 0.245 0.598
N: 0.906 0.255 0.098

Principal peaks in the range 2θ from 5° to 70°, low angle first:
Position (°2θ), intensity
19.4, 100
19.6, 40
22.9, 33
23.1, 27
24.2, 29
28.3, 56
29.0, 27
29.4, 25
36.4, 25
37.9, 26
38.3, 31
41.7, 26

Diffraction record for PrRe2. The powder X-ray diffraction pattern is computed, not measured: it uses DFT lattice parameters and positions (GGA-PBE) and CuKα.
Lines closer than 0.1° are merged.

Crystal structure
a b c (Å): 5.543 5.543 5.543
angles (deg): 60.00 60.00 60.00
Sites, in units of the cell vectors:
Pr: 0.125 0.125 0.125
Pr: 0.875 0.875 0.875
Re: 0.000 0.500 0.500
Re: 0.500 0.000 0.500
Re: 0.500 0.500 0.000
Re: 0.500 0.500 0.500

Principal peaks in the range 2θ from 5° to 70°, low angle first:
Position (°2θ), intensity
19.6, 15
32.3, 19
38.1, 100
39.8, 49
46.3, 9
50.8, 4
57.6, 7
61.5, 33
67.6, 30

Diffraction record for MnP4. The powder X-ray diffraction pattern is computed, not measured: it uses DFT lattice parameters and positions (GGA-PBE) and CuKα.
Lines closer than 0.1° are merged.

Crystal structure
a b c (Å): 5.889 5.889 11.085
angles (deg): 91.27 91.27 128.43
Sites, in units of the cell vectors:
Mn: 0.000 0.500 0.500
Mn: 0.094 0.906 0.750
Mn: 0.500 0.000 0.000
Mn: 0.906 0.094 0.250
P: 0.043 0.862 0.955
P: 0.052 0.557 0.290
P: 0.138 0.957 0.545
P: 0.243 0.361 0.783
P: 0.340 0.545 0.974
P: 0.361 0.243 0.283
P: 0.443 0.948 0.210
P: 0.455 0.660 0.526
P: 0.545 0.340 0.474
P: 0.557 0.052 0.790
P: 0.639 0.757 0.717
P: 0.660 0.455 0.026
P: 0.757 0.639 0.217
P: 0.862 0.043 0.455
P: 0.948 0.443 0.710
P: 0.957 0.138 0.045

Principal peaks in the range 2θ from 5° to 70°, low angle first:
Position (°2θ), intensity
20.5, 33
32.0, 100
32.3, 60
39.1, 15
39.6, 11
44.6, 19
49.5, 23
51.7, 21
52.7, 51
55.6, 12
59.3, 16
62.3, 12

Diffraction record for TiBe2Ir. The powder X-ray diffraction pattern is computed, not measured: it uses DFT lattice parameters and positions (GGA-PBE) and CuKα.
Lines closer than 0.1° are merged.

Crystal structure
a b c (Å): 5.681 5.681 5.681
angles (deg): 90.00 90.00 90.00
Sites, in units of the cell vectors:
Ti: 0.000 0.000 0.000
Ti: 0.000 0.500 0.500
Ti: 0.500 0.000 0.500
Ti: 0.500 0.500 0.000
Be: 0.250 0.250 0.250
Be: 0.250 0.250 0.750
Be: 0.250 0.750 0.250
Be: 0.250 0.750 0.750
Be: 0.750 0.250 0.250
Be: 0.750 0.250 0.750
Be: 0.750 0.750 0.250
Be: 0.750 0.750 0.750
Ir: 0.000 0.000 0.500
Ir: 0.000 0.500 0.000
Ir: 0.500 0.000 0.000
Ir: 0.500 0.500 0.500

Principal peaks in the range 2θ from 5° to 70°, low angle first:
Position (°2θ), intensity
27.2, 76
31.5, 100
45.1, 91
53.5, 38
56.1, 26
65.7, 15